No. 1
Starting from DFT lattice parameters and positions (GGA-PBE), the X-ray diffraction stick pattern of Na2Tl9Cd was computed for Cu Kα (weighted mean of Kα1 and Kα2).
Intensities are scaled so that the largest is 100.

Structure:
a b c (Å): 4.895 4.895 14.506
angles (deg): 90.00 90.00 90.00
Space group P4/mmm (No. 123)
One atom of each set of equivalent atoms:
Na  0.000  0.000  0.166 x2
Tl  0.000  0.500  0.000 x2
Tl  0.000  0.500  0.336 x4
Tl  0.500  0.500  0.163 x2
Tl  0.500  0.500  0.500 x1
Cd  0.000  0.000  0.500 x1

Top 12 peaks for 10 to 90 degrees two-theta, low angle first:
18.12 deg, intensity 9, (1 0 0); 25.90 deg, intensity 8, (1 0 3); 31.80 deg, intensity 100, (1 1 3); 36.72 deg, intensity 34, (2 0 0); 37.19 deg, intensity 17, (0 0 6); 52.91 deg, intensity 12, (2 2 0); 53.26 deg, intensity 24, (2 0 6); 63.06 deg, intensity 29, (3 1 3); 63.69 deg, intensity 14, (1 1 9); 66.44 deg, intensity 12, (2 2 6); 86.79 deg, intensity 6, (3 3 3); 87.35 deg, intensity 12, (3 1 9)


No. 2
Starting from DFT lattice parameters and positions (GGA-PBE), the X-ray diffraction stick pattern of NaPaPdO4 was computed for Cu Kα (weighted mean of Kα1 and Kα2).
Intensities are scaled so that the largest is 100.

Structure:
a b c (Å): 6.067 6.858 10.667
angles (deg): 90.00 90.00 90.00
Space group Imma (No. 74)
One atom of each set of equivalent atoms:
Na  0.000  0.250  0.174 x4
Pa  0.000  0.000  0.500 x4
Pd  0.250  0.250  0.750 x4
O  0.000  0.053  0.709 x8
O  0.213  0.250  0.465 x8

Top 12 peaks for 10 to 90 degrees two-theta, low angle first:
15.36 deg, intensity 20, (0 1 1); 16.81 deg, intensity 100, (1 0 1); 29.11 deg, intensity 27, (1 0 3); 31.00 deg, intensity 37, (0 2 2); 31.11 deg, intensity 48, (1 2 1); 33.61 deg, intensity 23, (0 0 4); 34.00 deg, intensity 24, (2 0 2); 39.41 deg, intensity 15, (1 2 3); 39.67 deg, intensity 30, (2 2 0); 52.74 deg, intensity 14, (1 2 5); 52.94 deg, intensity 27, (2 2 4); 53.28 deg, intensity 13, (3 2 1)


No. 3
Starting from DFT lattice parameters and positions (GGA-PBE), the X-ray diffraction stick pattern of Pr5Bi4I was computed for Cu Kα (weighted mean of Kα1 and Kα2).
Intensities are scaled so that the largest is 100.

Structure:
a b c (Å): 4.653 6.545 23.145
angles (deg): 90.00 90.00 90.00
Space group Immm (No. 71)
One atom of each set of equivalent atoms:
Pr  0.000  0.000  0.000 x2
Pr  0.000  0.000  0.199 x4
Pr  0.000  0.000  0.392 x4
Bi  0.000  0.500  0.201 x4
Bi  0.000  0.500  0.401 x4
I  0.000  0.500  0.000 x2

Top 12 peaks for 10 to 90 degrees two-theta, low angle first:
27.20 deg, intensity 100, (0 2 0); 38.70 deg, intensity 13, (2 0 0); 38.87 deg, intensity 65, (1 2 5); 47.98 deg, intensity 15, (2 2 0); 48.15 deg, intensity 14, (0 2 10); 56.04 deg, intensity 9, (2 0 10); 63.41 deg, intensity 12, (2 2 10); 63.53 deg, intensity 18, (1 4 5); 70.15 deg, intensity 9, (3 2 5); 70.40 deg, intensity 13, (2 4 0); 89.62 deg, intensity 8, (3 4 5); 89.91 deg, intensity 8, (0 6 0)


No. 4
Starting from DFT lattice parameters and positions (GGA-PBE), the X-ray diffraction stick pattern of Ca4Tl15In was computed for Cu Kα (weighted mean of Kα1 and Kα2).
Intensities are scaled so that the largest is 100.

Structure:
a b c (Å): 4.856 4.856 24.657
angles (deg): 90.00 90.00 90.00
Space group P4/mmm (No. 123)
One atom of each set of equivalent atoms:
Ca  0.000  0.000  0.098 x2
Ca  0.000  0.000  0.295 x2
Tl  0.000  0.500  0.000 x2
Tl  0.000  0.500  0.197 x4
Tl  0.000  0.500  0.397 x4
Tl  0.500  0.500  0.097 x2
Tl  0.500  0.500  0.295 x2
Tl  0.500  0.500  0.500 x1
In  0.000  0.000  0.500 x1

Top 12 peaks for 10 to 90 degrees two-theta, low angle first:
18.27 deg, intensity 9, (1 0 0); 25.75 deg, intensity 8, (1 0 5); 31.75 deg, intensity 100, (1 1 5); 36.44 deg, intensity 17, (0 0 10); 37.02 deg, intensity 34, (2 0 0); 52.92 deg, intensity 23, (2 0 10); 53.36 deg, intensity 12, (2 2 0); 62.66 deg, intensity 13, (1 1 15); 63.44 deg, intensity 28, (3 1 5); 66.34 deg, intensity 12, (2 2 10); 86.79 deg, intensity 11, (3 1 15); 87.49 deg, intensity 6, (3 3 5)


No. 5
Starting from DFT lattice parameters and positions (GGA-PBE), the X-ray diffraction stick pattern of NaTm3Se4O12 was computed for Cu Kα (weighted mean of Kα1 and Kα2).
Intensities are scaled so that the largest is 100.

Structure:
a b c (Å): 12.0802 12.0802 8.2229
angles (deg): 90.00 90.00 120.00
Space group R32 (No. 155, hexagonal axes)
One atom of each set of equivalent atoms:
Na  0.0000  0.0000  0.0000 x3
Tm  0.0000  0.5637  0.0000 x9
Se  0.0000  0.0000  0.5000 x3
Se  0.0000  0.4383  0.5000 x9
O  0.0000  0.6159  0.5000 x9
O  0.0000  0.8419  0.5000 x9
O  0.0481  0.2449  0.1739 x18

Top 12 peaks for 10 to 90 degrees two-theta, low angle first:
13.70 deg, intensity 21, (1 0 1); 14.67 deg, intensity 56, (1 1 0); 24.99 deg, intensity 67, (2 1 1); 27.60 deg, intensity 100, (2 0 2); 29.58 deg, intensity 27, (2 2 0); 32.73 deg, intensity 59, (1 3 1); 35.98 deg, intensity 29, (1 1 3); 37.95 deg, intensity 28, (3 1 2); 47.52 deg, intensity 22, (0 2 4); 49.78 deg, intensity 25, (5 1 1); 52.14 deg, intensity 27, (4 1 3); 54.78 deg, intensity 31, (5 2 0)


No. 6
Starting from DFT lattice parameters and positions (GGA-PBE), the X-ray diffraction stick pattern of Fe7Co was computed for Cu Kα (weighted mean of Kα1 and Kα2).
Intensities are scaled so that the largest is 100.

Structure:
a b c (Å): 2.841 4.020 16.114
angles (deg): 90.00 90.00 90.00
Space group Immm (No. 71)
One atom of each set of equivalent atoms:
Fe  0.000  0.000  0.000 x2
Fe  0.000  0.000  0.249 x4
Fe  0.000  0.500  0.124 x4
Fe  0.000  0.500  0.375 x4
Co  0.000  0.000  0.500 x2

Top 6 peaks for 10 to 90 degrees two-theta, low angle first:
45.08 deg, intensity 100, (1 1 4); 45.11 deg, intensity 20, (0 2 0); 65.62 deg, intensity 12, (0 2 8); 65.74 deg, intensity 6, (2 0 0); 83.11 deg, intensity 11, (1 1 12); 83.26 deg, intensity 23, (2 2 0)


No. 7
Starting from DFT lattice parameters and positions (GGA-PBE), the X-ray diffraction stick pattern of Li6Mg2Ge was computed for Cu Kα (weighted mean of Kα1 and Kα2).
Intensities are scaled so that the largest is 100.

Structure:
a b c (Å): 13.008 8.706 2.952
angles (deg): 90.00 94.10 90.00
Space group Cm (No. 8)
One atom of each set of equivalent atoms:
Li  0.000  0.151  0.000 x4
Li  0.149  0.349  0.430 x4
Li  0.318  0.239  0.057 x4
Mg  0.188  0.000  0.559 x2
Mg  0.451  0.000  0.635 x2
Ge  0.339  0.500  0.528 x2

Top 12 peaks for 10 to 90 degrees two-theta, low angle first:
12.24 deg, intensity 80, (1 1 0); 13.65 deg, intensity 76, (2 0 0); 20.40 deg, intensity 78, (0 2 0); 22.96 deg, intensity 100, (3 1 0); 24.63 deg, intensity 34, (2 2 0); 30.36 deg, intensity 29, (0 0 1); 36.12 deg, intensity 34, (5 1 0); 36.86 deg, intensity 50, (0 2 1); 37.16 deg, intensity 28, (3 1 -1); 37.31 deg, intensity 49, (3 3 0); 38.67 deg, intensity 20, (2 2 -1); 39.62 deg, intensity 36, (3 1 1)


No. 8
Starting from DFT lattice parameters and positions (GGA-PBE), the X-ray diffraction stick pattern of Sr3In2Au7 was computed for Cu Kα (weighted mean of Kα1 and Kα2).
Intensities are scaled so that the largest is 100.

Structure:
a b c (Å): 4.525 4.525 29.863
angles (deg): 90.00 90.00 90.00
Space group I4/mmm (No. 139)
One atom of each set of equivalent atoms:
Sr  0.000  0.000  0.000 x2
Sr  0.000  0.000  0.176 x4
In  0.000  0.000  0.374 x4
Au  0.000  0.000  0.281 x4
Au  0.000  0.000  0.500 x2
Au  0.000  0.500  0.074 x8

Top 12 peaks for 10 to 90 degrees two-theta, low angle first:
19.85 deg, intensity 23, (1 0 1); 28.53 deg, intensity 59, (1 1 2); 30.40 deg, intensity 30, (1 1 4); 33.29 deg, intensity 100, (1 1 6); 33.49 deg, intensity 58, (1 0 9); 37.01 deg, intensity 75, (1 1 8); 39.85 deg, intensity 99, (2 0 0); 53.01 deg, intensity 32, (2 1 9); 57.62 deg, intensity 34, (2 2 0); 59.57 deg, intensity 28, (2 0 14); 68.20 deg, intensity 26, (3 1 6); 70.48 deg, intensity 23, (3 1 8)